(1)
This entry pairs a crystal structure of AlH12C4NF4 with its theoretical X-ray powder pattern. Radiation: Cu Kα (weighted mean of Kα1 and Kα2). Structure: a structure optimized by DFT (GGA-PBE).
Peak positions follow from Bragg's law for the DFT cell and can differ from measured ones.

Most intense lines, 2θ = 5–70°, sorted by position:
| (hkl) | 2θ (°) | intensity |
| --- | --- | --- |
| 0 1 0 | 14.59 | 3.5 |
| 1 1 0 | 20.68 | 100.0 |
| 1 1 1 | 25.40 | 3.8 |
| -1 1 2 | 36.23 | 42.7 |
| 2 2 0 | 42.08 | 5.6 |
| 2 2 2 | 52.17 | 6.1 |
| 2 1 -3 | 56.71 | 11.9 |
| 3 3 0 | 65.17 | 10.8 |

Cell and atoms:
```
data_AlH12C4NF4
_symmetry_space_group_name_H-M 'P 1'
_symmetry_Int_Tables_number 1
_cell_length_a 6.071
_cell_length_b 6.073
_cell_length_c 6.076
_cell_angle_alpha 90.01
_cell_angle_beta 90.01
_cell_angle_gamma 90.01
loop_
_symmetry_equiv_pos_as_xyz
'x,y,z'
loop_
_atom_site_label
_atom_site_type_symbol
_atom_site_fract_x
_atom_site_fract_y
_atom_site_fract_z
Al1 Al 0.000 0.000 0.000
H1 H 0.252 0.469 0.742
H2 H 0.254 0.257 0.535
H3 H 0.257 0.746 0.459
H4 H 0.259 0.534 0.251
H5 H 0.461 0.258 0.747
H6 H 0.470 0.743 0.252
H7 H 0.534 0.748 0.743
H8 H 0.538 0.252 0.258
H9 H 0.742 0.537 0.749
H10 H 0.745 0.253 0.471
H11 H 0.747 0.744 0.536
H12 H 0.749 0.461 0.259
C1 C 0.355 0.360 0.642
C2 C 0.360 0.642 0.354
C3 C 0.642 0.644 0.643
C4 C 0.645 0.355 0.361
N1 N 0.501 0.500 0.500
F1 F 0.160 0.842 0.832
F2 F 0.164 0.161 0.161
F3 F 0.834 0.163 0.844
F4 F 0.843 0.834 0.162
```



(2)
This entry pairs a crystal structure of TbDy2Co2 with its theoretical X-ray powder pattern. Radiation: Cu Kα (weighted mean of Kα1 and Kα2). Structure: a structure optimized by DFT (GGA-PBE).
Peak positions follow from Bragg's law for the DFT cell and can differ from measured ones.

Most intense lines, 2θ = 5–70°, sorted by position:
| (hkl) | 2θ (°) | intensity |
| --- | --- | --- |
| 1 3 0 | 29.31 | 62.9 |
| 1 1 1 | 32.98 | 100.0 |
| 0 4 1 | 33.59 | 68.8 |
| 0 6 0 | 36.94 | 25.9 |
| 1 3 1 | 37.42 | 29.8 |
| 1 5 1 | 45.17 | 24.5 |
| 2 0 0 | 46.47 | 48.0 |
| 2 4 1 | 58.56 | 27.8 |

Cell and atoms:
```
data_TbDy2Co2
_symmetry_space_group_name_H-M 'C m m m'
_symmetry_Int_Tables_number 65
_symmetry_space_group_name_Hall '-C 2 2'
_cell_length_a 3.907
_cell_length_b 14.602
_cell_length_c 3.910
_cell_angle_alpha 90.00
_cell_angle_beta 90.00
_cell_angle_gamma 90.00
loop_
_atom_site_label
_atom_site_type_symbol
_atom_site_fract_x
_atom_site_fract_y
_atom_site_fract_z
Tb1 Tb 0.000 0.000 0.000
Dy1 Dy 0.000 0.349 0.500
Co1 Co 0.000 0.203 0.000
```



(3)
This entry pairs a crystal structure of B2OsW2 with its theoretical X-ray powder pattern. Radiation: Cu Kα (weighted mean of Kα1 and Kα2). Structure: a structure optimized by DFT (GGA-PBE).
Peak positions follow from Bragg's law for the DFT cell and can differ from measured ones.

Most intense lines, 2θ = 5–70°, sorted by position:
| (hkl) | 2θ (°) | intensity |
| --- | --- | --- |
| 1 0 1 | 31.21 | 27.5 |
| 1 1 1 | 32.59 | 17.4 |
| 3 1 0 | 36.61 | 16.2 |
| 0 4 0 | 37.15 | 44.6 |
| 3 2 0 | 40.12 | 45.7 |
| 2 2 1 | 42.02 | 100.0 |
| 1 3 1 | 42.18 | 16.3 |
| 1 4 1 | 49.29 | 15.2 |

Cell and atoms:
```
data_B2OsW2
_symmetry_space_group_name_H-M 'P n n m'
_symmetry_Int_Tables_number 58
_cell_length_a 7.612
_cell_length_b 9.680
_cell_length_c 3.093
_cell_angle_alpha 90.00
_cell_angle_beta 90.00
_cell_angle_gamma 90.00
loop_
_symmetry_equiv_pos_as_xyz
'x,y,z'
'-x,-y,-z'
'-x,-y,z'
'x,y,-z'
'x+1/2,-y+1/2,-z+1/2'
'-x+1/2,y+1/2,z+1/2'
'-x+1/2,y+1/2,-z+1/2'
'x+1/2,-y+1/2,z+1/2'
loop_
_atom_site_label
_atom_site_type_symbol
_atom_site_fract_x
_atom_site_fract_y
_atom_site_fract_z
B1 B 0.115 0.040 0.000
B2 B 0.124 0.232 0.000
Os1 Os 0.118 0.392 0.500
W1 W 0.075 0.860 0.500
W2 W 0.193 0.630 0.000
```



(4)
This entry pairs a crystal structure of CePuSbCl2 with its theoretical X-ray powder pattern. Radiation: Cu Kα (weighted mean of Kα1 and Kα2). Structure: a structure optimized by DFT (GGA-PBE).
Peak positions follow from Bragg's law for the DFT cell and can differ from measured ones.

Most intense lines, 2θ = 5–70°, sorted by position:
| (hkl) | 2θ (°) | intensity |
| --- | --- | --- |
| 0 2 0 | 11.51 | 33.7 |
| 0 2 2 | 22.95 | 50.6 |
| 0 4 0 | 23.14 | 42.2 |
| 1 3 1 | 29.24 | 46.5 |
| 1 1 2 | 29.71 | 100.0 |
| 1 3 2 | 34.07 | 55.0 |
| 1 5 0 | 36.21 | 49.3 |
| 0 6 2 | 40.55 | 35.3 |

Cell and atoms:
```
data_CePuSbCl2
_symmetry_space_group_name_H-M 'C m c m'
_symmetry_Int_Tables_number 63
_symmetry_space_group_name_Hall '-C 2c 2'
_cell_length_a 4.201
_cell_length_b 15.372
_cell_length_c 8.973
_cell_angle_alpha 90.00
_cell_angle_beta 90.00
_cell_angle_gamma 90.00
loop_
_atom_site_label
_atom_site_type_symbol
_atom_site_fract_x
_atom_site_fract_y
_atom_site_fract_z
Ce1 Ce 0.000 0.224 0.250
Pu1 Pu 0.000 0.000 0.000
Sb1 Sb 0.000 0.437 0.750
Cl1 Cl 0.000 0.179 0.573
```



(5)
This entry pairs a crystal structure of RbLiSnSe with its theoretical X-ray powder pattern. Radiation: Cu Kα (weighted mean of Kα1 and Kα2). Structure: a structure optimized by DFT (GGA-PBE).
Peak positions follow from Bragg's law for the DFT cell and can differ from measured ones.

Most intense lines, 2θ = 5–70°, sorted by position:
| (hkl) | 2θ (°) | intensity |
| --- | --- | --- |
| 0 0 3 | 19.08 | 76.9 |
| 1 0 3 | 28.34 | 67.1 |
| 1 1 1 | 30.23 | 100.0 |
| 1 1 2 | 32.25 | 78.9 |
| 2 0 0 | 42.25 | 45.2 |
| 2 0 3 | 46.74 | 30.2 |
| 1 1 6 | 49.43 | 34.6 |
| 2 1 3 | 51.66 | 24.4 |

Cell and atoms:
```
data_RbLiSnSe
_symmetry_space_group_name_H-M 'P 4/n m m'
_symmetry_Int_Tables_number 129
_cell_length_a 4.278
_cell_length_b 4.278
_cell_length_c 13.955
_cell_angle_alpha 90.00
_cell_angle_beta 90.00
_cell_angle_gamma 90.00
loop_
_symmetry_equiv_pos_as_xyz
'x,y,z'
'-x,-y,-z'
'-y+1/2,x,z'
'y+1/2,-x,-z'
'-x+1/2,-y+1/2,z'
'x+1/2,y+1/2,-z'
'y,-x+1/2,z'
'-y,x+1/2,-z'
'x+1/2,-y,-z'
'-x+1/2,y,z'
'-y,-x,-z'
'y,x,z'
'-x,y+1/2,-z'
'x,-y+1/2,z'
'y+1/2,x+1/2,-z'
'-y+1/2,-x+1/2,z'
loop_
_atom_site_label
_atom_site_type_symbol
_atom_site_fract_x
_atom_site_fract_y
_atom_site_fract_z
Rb1 Rb 0.250 0.250 0.220
Li1 Li 0.250 0.750 0.000
Sn1 Sn 0.250 0.750 0.500
Se1 Se 0.250 0.250 0.894
```



(6)
This entry pairs a crystal structure of Nd3TeC with its theoretical X-ray powder pattern. Radiation: Cu Kα (weighted mean of Kα1 and Kα2). Structure: a structure optimized by DFT (GGA-PBE).
Peak positions follow from Bragg's law for the DFT cell and can differ from measured ones.

Most intense lines, 2θ = 5–70°, sorted by position:
| (hkl) | 2θ (°) | intensity |
| --- | --- | --- |
| 2 0 -2 | 28.29 | 46.8 |
| 0 0 2 | 28.59 | 100.0 |
| 3 1 1 | 29.51 | 60.3 |
| 2 4 -1 | 30.94 | 91.3 |
| 2 4 1 | 34.43 | 56.3 |
| 4 0 -2 | 34.76 | 32.0 |
| 5 1 -1 | 35.55 | 31.9 |
| 0 4 3 | 51.10 | 27.8 |

Cell and atoms:
```
data_Nd3TeC
_symmetry_space_group_name_H-M 'C 1 2/c 1'
_symmetry_Int_Tables_number 15
_cell_length_a 12.955
_cell_length_b 13.949
_cell_length_c 6.488
_cell_angle_alpha 90.00
_cell_angle_beta 105.63
_cell_angle_gamma 90.00
loop_
_symmetry_equiv_pos_as_xyz
'x,y,z'
'-x,-y,-z'
'-x,y,-z+1/2'
'x,-y,z+1/2'
'x+1/2,y+1/2,z'
'-x+1/2,-y+1/2,-z'
'-x+1/2,y+1/2,-z+1/2'
'x+1/2,-y+1/2,z+1/2'
loop_
_atom_site_label
_atom_site_type_symbol
_atom_site_fract_x
_atom_site_fract_y
_atom_site_fract_z
Nd1 Nd 0.080 0.156 0.037
Nd2 Nd 0.100 0.403 0.052
Nd3 Nd 0.146 0.297 0.581
Te1 Te 0.170 0.071 0.560
C1 C 0.000 0.280 0.250
C2 C 0.000 0.283 0.750
```



(7)
This entry pairs a crystal structure of TiSbBr with its theoretical X-ray powder pattern. Radiation: Cu Kα (weighted mean of Kα1 and Kα2). Structure: a structure optimized by DFT (GGA-PBE).
Peak positions follow from Bragg's law for the DFT cell and can differ from measured ones.

Most intense lines, 2θ = 5–70°, sorted by position:
| (hkl) | 2θ (°) | intensity |
| --- | --- | --- |
| 0 0 1 | 10.03 | 100.0 |
| 0 0 2 | 20.13 | 28.0 |
| 1 0 -1 | 20.56 | 23.8 |
| 1 1 1 | 24.00 | 26.8 |
| 1 -1 1 | 28.30 | 25.4 |
| 0 0 3 | 30.40 | 19.8 |
| 0 2 0 | 34.65 | 26.4 |
| 2 0 0 | 35.23 | 25.1 |

Cell and atoms:
```
data_TiSbBr
_symmetry_space_group_name_H-M 'P -1'
_symmetry_Int_Tables_number 2
_cell_length_a 5.167
_cell_length_b 5.249
_cell_length_c 8.844
_cell_angle_alpha 87.03
_cell_angle_beta 86.75
_cell_angle_gamma 80.85
loop_
_symmetry_equiv_pos_as_xyz
'x,y,z'
'-x,-y,-z'
loop_
_atom_site_label
_atom_site_type_symbol
_atom_site_fract_x
_atom_site_fract_y
_atom_site_fract_z
Ti1 Ti 0.228 0.227 0.401
Sb1 Sb 0.280 0.721 0.492
Br1 Br 0.240 0.245 0.136
```



(8)
This entry pairs a crystal structure of BrCl with its theoretical X-ray powder pattern. Radiation: Cu Kα (weighted mean of Kα1 and Kα2). Structure: a structure optimized by DFT (GGA-PBE).
Peak positions follow from Bragg's law for the DFT cell and can differ from measured ones.

Most intense lines, 2θ = 5–70°, sorted by position:
| (hkl) | 2θ (°) | intensity |
| --- | --- | --- |
| 1 1 0 | 15.00 | 39.9 |
| 2 0 0 | 17.34 | 18.9 |
| 1 0 1 | 22.31 | 35.3 |
| 1 2 0 | 23.00 | 15.2 |
| 2 0 1 | 27.00 | 100.0 |
| 2 2 0 | 30.27 | 30.3 |
| 4 0 1 | 41.00 | 13.3 |
| 4 2 1 | 51.80 | 31.5 |

Cell and atoms:
```
data_BrCl
_symmetry_space_group_name_H-M 'P 63/m'
_symmetry_Int_Tables_number 176
_symmetry_space_group_name_Hall '-P 6c'
_cell_length_a 11.8108
_cell_length_b 11.8108
_cell_length_c 4.3257
_cell_angle_alpha 90.00
_cell_angle_beta 90.00
_cell_angle_gamma 120.00
loop_
_atom_site_label
_atom_site_type_symbol
_atom_site_fract_x
_atom_site_fract_y
_atom_site_fract_z
Br1 Br 0.1519 0.3136 0.2500
Cl1 Cl 0.1023 0.4667 0.2500
```